[1]
Simulated X-ray diffraction stick pattern
Compound: Pr4Dy3TmSe8
Radiation: Cu Kα (λ = 1.5418 Å)
Structure: a crystal structure in Alexandria, relaxed with GGA-PBE
No peak broadening, texture or thermal motion is included.

Most intense lines, 5 to 70 degrees two-theta, low angle first:
- 2θ 25.4, intensity 5.5
- 2θ 26.5, intensity 13.7
- 2θ 30.4, intensity 100.0
- 2θ 42.8, intensity 37.8
- 2θ 44.1, intensity 36.1
- 2θ 52.3, intensity 8.9
- 2θ 54.5, intensity 19.8
- 2θ 63.2, intensity 12.1

Cell and atoms:
```
Pr4Dy3TmSe8
1.0
4.1059 2.3706 6.9997
-4.1059 2.3706 6.9997
0.0000 -4.7411 6.9997
Pr Dy Tm Se
4 3 1 8
Direct
0.0000 0.0000 0.0000
0.0000 0.5000 0.5000
0.5000 0.0000 0.5000
0.5000 0.5000 0.0000
0.0000 0.0000 0.5000
0.0000 0.5000 0.0000
0.5000 0.0000 0.0000
0.5000 0.5000 0.5000
0.2438 0.2438 0.2438
0.2461 0.7417 0.7417
0.2583 0.2583 0.7539
0.2583 0.7539 0.2583
0.7417 0.2461 0.7417
0.7417 0.7417 0.2461
0.7539 0.2583 0.2583
0.7562 0.7562 0.7562
```

[2]
Simulated X-ray diffraction stick pattern
Compound: Rb4Cu8Ge3S12
Radiation: Cu Kα (λ = 1.5418 Å)
Structure: a crystal structure in Alexandria, relaxed with GGA-PBE
No peak broadening, texture or thermal motion is included.

Most intense lines, 5 to 70 degrees two-theta, low angle first:
- 2θ 9.6, intensity 78.4
- 2θ 10.0, intensity 72.6
- 2θ 24.0, intensity 57.1
- 2θ 28.9, intensity 51.7
- 2θ 29.8, intensity 100.0
- 2θ 30.5, intensity 44.1
- 2θ 42.5, intensity 41.4
- 2θ 53.2, intensity 75.1

Cell and atoms:
```
Rb4Cu8Ge3S12
1.0
-6.2273 6.2273 9.2572
6.2273 -6.2273 9.2572
6.2273 6.2273 -9.2572
Rb Cu Ge S
8 16 6 24
Direct
0.0591 0.0591 0.6182
0.0971 0.0971 0.0000
0.4029 0.4029 0.0000
0.4409 0.4409 0.3818
0.5591 0.9409 0.0000
0.5971 0.5971 0.0000
0.9029 0.9029 0.0000
0.9409 0.5591 0.0000
0.0871 0.7685 0.6800
0.0885 0.4071 0.3200
0.0929 0.4115 0.6800
0.2315 0.9115 0.3185
0.2683 0.5970 0.6817
0.4030 0.0847 0.6713
0.4133 0.7317 0.3287
0.4153 0.0970 0.3287
0.5871 0.9071 0.3185
0.5885 0.2685 0.6815
0.5929 0.9129 0.6815
0.7315 0.4129 0.3200
0.7683 0.0867 0.6713
0.9030 0.2317 0.3183
0.9133 0.5847 0.6817
0.9153 0.5867 0.3183
0.2489 0.2511 0.5000
0.2500 0.7500 0.5000
0.2511 0.7511 0.0022
0.7489 0.2489 0.9978
0.7500 0.2500 0.5000
0.7511 0.7489 0.5000
0.0686 0.7777 0.8500
0.0736 0.2196 0.4953
0.0771 0.5673 0.2928
0.2157 0.9229 0.4901
0.2223 0.0724 0.2909
0.2243 0.7196 0.1461
0.2745 0.7843 0.7072
0.2804 0.4264 0.5047
0.2815 0.5724 0.8500
0.4218 0.9264 0.1461
0.4276 0.2777 0.7091
0.4327 0.7255 0.5099
0.5686 0.7185 0.2909
0.5736 0.0782 0.8539
0.5771 0.2843 0.5099
0.7157 0.2255 0.2928
0.7223 0.4314 0.1500
0.7243 0.5782 0.5047
0.7745 0.0673 0.4901
0.7804 0.2757 0.8539
0.7815 0.9314 0.7091
0.9218 0.7757 0.4953
0.9276 0.2185 0.1500
0.9327 0.4229 0.7072
```

[3]
Simulated X-ray diffraction stick pattern
Compound: KRb4As4
Radiation: Cu Kα (λ = 1.5418 Å)
Structure: a crystal structure in Alexandria, relaxed with GGA-PBE
No peak broadening, texture or thermal motion is included.

Most intense lines, 5 to 70 degrees two-theta, low angle first:
- 2θ 16.8, intensity 37.4
- 2θ 26.7, intensity 100.0
- 2θ 27.1, intensity 60.2
- 2θ 29.7, intensity 40.3
- 2θ 32.0, intensity 47.9
- 2θ 36.4, intensity 25.4
- 2θ 40.3, intensity 40.7
- 2θ 53.7, intensity 24.0

Cell and atoms:
```
KRb4As4
1.0
10.5571 0.0000 0.0000
0.0000 10.5571 0.0000
0.0000 0.0000 6.9435
K Rb As
2 8 8
Direct
0.2500 0.2500 0.2500
0.7500 0.7500 0.7500
0.0586 0.6693 0.0947
0.1693 0.9414 0.5947
0.3307 0.5586 0.5947
0.4414 0.8307 0.0947
0.5586 0.1693 0.9053
0.6693 0.4414 0.4053
0.8307 0.0586 0.4053
0.9414 0.3307 0.9053
0.0000 0.4021 0.4160
0.0000 0.5979 0.5840
0.0979 0.0000 0.0840
0.4021 0.5000 0.0840
0.5000 0.0979 0.4160
0.5000 0.9021 0.5840
0.5979 0.5000 0.9160
0.9021 0.0000 0.9160
```